Starting from a cell relaxed with GGA-PBE, the powder diffraction line list of La16Nd7Y6 was computed for Cu Kα X-rays.
Kinematic intensities with the Lorentz-polarization factor, no thermal factor.

Peak list (10 most intense, 2θ = 10–90°, by angle)
(hkl)  2theta  Rel. int.
3 3 3  28.41  10
4 4 0  30.99  100
5 3 1  32.44  9
8 0 0  44.39  14
7 5 3  50.96  6
8 4 4  55.12  26
9 3 3  56.05  6
8 8 0  64.59  7
12 4 0  73.35  7
12 8 4  89.94  11

Structural model:
```
data_La16Nd7Y6
_cell_length_a 16.326
_cell_length_b 16.326
_cell_length_c 16.326
_cell_angle_alpha 90.00
_cell_angle_beta 90.00
_cell_angle_gamma 90.00
_symmetry_space_group_name_H-M 'F m -3 m'
_symmetry_Int_Tables_number 225
_symmetry_space_group_name_Hall '-F 4 2 3'
loop_
_atom_site_label
_atom_site_type_symbol
_atom_site_fract_x
_atom_site_fract_y
_atom_site_fract_z
_atom_site_occupancy
La1 La 0.125 0.125 0.125 1
La2 La 0.152 0.152 0.348 1
Nd1 Nd 0.000 0.000 0.000 1
Nd2 Nd 0.000 0.250 0.250 1
Y1 Y 0.000 0.000 0.266 1
```